The following is a computed powder XRD pattern of Cr2H3F6. It was derived from a structure optimized by DFT (PBE+U), using Cu Kα.
No peak broadening, texture or thermal motion is included.

Top 6 peaks for 2θ = 5–70°, sorted by position:
17.6°, I 100.0; 17.8°, I 48.7; 19.0°, I 75.1; 20.7°, I 39.2; 30.1°, I 29.6; 34.5°, I 70.4

Structure:
```
data_Cr2H3F6
_cell_length_a 6.1230
_cell_length_b 6.2180
_cell_length_c 9.8945
_cell_angle_alpha 73.74
_cell_angle_beta 73.94
_cell_angle_gamma 61.00
_symmetry_space_group_name_H-M 'P -1'
_symmetry_Int_Tables_number 2
loop_
_symmetry_equiv_pos_as_xyz
'x,y,z'
'-x,-y,-z'
loop_
_atom_site_label
_atom_site_fract_x
_atom_site_fract_y
_atom_site_fract_z
Cr1 0.1554 0.1739 0.0070
Cr2 0.3432 0.3379 0.4950
H1 0.0915 0.4114 0.2512
H2 0.2463 0.9835 0.7484
H3 0.4398 0.7384 0.2456
F1 0.0758 0.4047 0.3703
F2 0.0955 0.4291 0.1319
F3 0.1672 0.9606 0.8679
F4 0.3274 0.0070 0.6282
F5 0.4314 0.6415 0.3805
F6 0.4562 0.8152 0.1372
```